Entry 1:
Na2UF8: theoretical X-ray diffraction stick pattern (Cu Kα (weighted mean of Kα1 and Kα2)), based on a DFT-relaxed cell (GGA-PBE, Alexandria).
Neutral-atom scattering factors, no anomalous dispersion.

```
data_Na2UF8
_cell_length_a 5.614
_cell_length_b 5.614
_cell_length_c 10.612
_cell_angle_alpha 90.00
_cell_angle_beta 90.00
_cell_angle_gamma 90.00
_space_group_name_H-M_alt 'I 4/m m m'
_space_group_IT_number 139
_space_group_name_Hall '-I 4 2'
loop_
_atom_site_label
_atom_site_fract_x
_atom_site_fract_y
_atom_site_fract_z
Na1 0.000 0.500 0.250
U1 0.000 0.000 0.000
F1 0.219 0.219 0.117
```

Principal peaks in the range 2θ from 10° to 90°, low angle first:
2θ (°)  d (Å)  I/Imax
16.71  5.306  17
17.87  4.963  100
22.39  3.970  16
28.07  3.179  42
29.85  2.993  20
36.78  2.443  23
44.24  2.047  19
45.71  1.985  18
47.14  1.928  22
54.50  1.684  13



Entry 2:
RbTl2F6: theoretical X-ray diffraction stick pattern (Cu Kα (weighted mean of Kα1 and Kα2)), based on a DFT-relaxed cell (GGA-PBE, Alexandria).
Neutral-atom scattering factors, no anomalous dispersion.

```
data_RbTl2F6
_cell_length_a 6.2761
_cell_length_b 6.2761
_cell_length_c 5.6594
_cell_angle_alpha 90.00
_cell_angle_beta 90.00
_cell_angle_gamma 120.00
_space_group_name_H-M_alt 'P -3 1 m'
_space_group_IT_number 162
_space_group_name_Hall '-P 3 2'
loop_
_atom_site_label
_atom_site_fract_x
_atom_site_fract_y
_atom_site_fract_z
Rb1 0.0000 0.0000 0.0000
Tl1 0.3333 0.6667 0.5000
F1 0.0000 0.3772 0.7096
```

Principal peaks in the range 2θ from 10° to 90°, low angle first:
2θ (°)  d (Å)  I/Imax
15.66  5.659  54
16.31  5.435  21
22.68  3.920  100
28.44  3.138  62
32.63  2.744  46
36.68  2.450  26
43.04  2.101  63
47.06  1.931  29
50.37  1.812  23
89.62  1.094  15